RbEr2AgS4: theoretical X-ray diffraction stick pattern (CuKα), based on a GGA-PBE-relaxed structure.

Cell and atoms:
a b c (Å): 7.1353 7.1353 14.1812
angles (deg): 90.00 90.00 147.06
Positions (direct):
Rb  0.1155  0.8845  0.7500
Rb  0.8845  0.1155  0.2500
Er  0.3683  0.6317  0.5647
Er  0.3683  0.6317  0.9353
Er  0.6317  0.3683  0.0647
Er  0.6317  0.3683  0.4353
Ag  0.1667  0.8333  0.2500
Ag  0.8333  0.1667  0.7500
S  0.0000  0.0000  0.0000
S  0.0000  0.0000  0.5000
S  0.2600  0.7400  0.0981
S  0.2600  0.7400  0.4019
S  0.4386  0.5614  0.7500
S  0.5614  0.4386  0.2500
S  0.7400  0.2600  0.5981
S  0.7400  0.2600  0.9019

Most intense lines, 2θ = 10–80°, by angle:
two_theta  I/Imax
14.4  58
22.9  61
26.0  37
26.2  48
29.8  29
30.2  37
32.2  100
34.2  40
38.1  26
44.1  25
44.3  44
44.8  28